# Pm2SiSnRh6
Calculated powder XRD pattern, Cu Kα, 1.54184 Å. Input: the PBE geometry in Alexandria.
Peak positions follow from Bragg's law for the DFT cell and can differ from measured ones.

Crystal structure
Cell: 6.181 6.189 7.210 Å, 65.24 64.95 60.16°
Fractional coordinates of all 10 atoms:
Pm  0.249  0.248  0.251
Pm  0.751  0.752  0.749
Si  0.500  0.500  0.500
Sn  0.000  0.000  0.000
Rh  0.179  0.740  0.336
Rh  0.257  0.259  0.668
Rh  0.258  0.825  0.660
Rh  0.742  0.175  0.340
Rh  0.743  0.741  0.332
Rh  0.821  0.260  0.664

The 10 most intense peaks (15° ≤ 2θ ≤ 90°), most intense first:
index  d/Å  I (rel.)
0 2 2  2.324  100
2 0 2  2.331  97
2 2 0  2.338  94
2 2 2  2.568  82
2 0 0  2.579  80
0 2 0  2.589  79
4 2 2  1.546  65
1 -1 0  3.095  63
0 0 2  3.149  56
0 1 0  5.168  51